1.
Starting from a PBE-relaxed structure, the X-ray powder pattern of CdHg was computed for Cu Kα (weighted mean of Kα1 and Kα2).

Crystal structure
a = 7.416 Å, b = 7.416 Å, c = 7.416 Å
α = 90.00°, β = 90.00°, γ = 90.00°
Fractional coordinates of all 16 atoms:
Cd 0.125 0.125 0.125
Cd 0.125 0.625 0.625
Cd 0.375 0.375 0.875
Cd 0.375 0.875 0.375
Cd 0.625 0.125 0.625
Cd 0.625 0.625 0.125
Cd 0.875 0.375 0.375
Cd 0.875 0.875 0.875
Hg 0.125 0.125 0.625
Hg 0.125 0.625 0.125
Hg 0.375 0.375 0.375
Hg 0.375 0.875 0.875
Hg 0.625 0.125 0.125
Hg 0.625 0.625 0.625
Hg 0.875 0.375 0.875
Hg 0.875 0.875 0.375

Largest 10 diffraction maxima, low angle first, 10 to 90 degrees two-theta:
d/Å, Rel. int., h k l
4.281, 8, 1 1 1
2.622, 100, 2 2 0
2.236, 5, 3 1 1
1.854, 18, 4 0 0
1.701, 2, 3 3 1
1.514, 37, 4 2 2
1.427, 2, 5 1 1
1.311, 11, 4 4 0
1.253, 2, 5 3 1
1.173, 16, 6 2 0

2.
Starting from a PBE-relaxed structure, the X-ray powder pattern of In2NiRu was computed for Cu Kα (weighted mean of Kα1 and Kα2).

Crystal structure
a = 3.870 Å, b = 3.870 Å, c = 8.968 Å
α = 90.00°, β = 90.00°, γ = 90.00°
Fractional coordinates of all 8 atoms:
In 0.000 0.000 0.000
In 0.000 0.500 0.250
In 0.500 0.000 0.750
In 0.500 0.500 0.500
Ni 0.000 0.500 0.750
Ni 0.500 0.000 0.250
Ru 0.000 0.000 0.500
Ru 0.500 0.500 0.000

Largest 10 diffraction maxima, low angle first, 10 to 90 degrees two-theta:
d/Å, Rel. int., h k l
3.553, 5, 1 0 1
2.336, 100, 1 1 2
2.242, 22, 0 0 4
1.935, 28, 2 0 0
1.465, 22, 2 0 4
1.368, 9, 2 2 0
1.312, 15, 1 1 6
1.181, 21, 3 1 2
1.168, 10, 2 2 4
1.121, 2, 0 0 8

3.
Starting from a PBE-relaxed structure, the X-ray powder pattern of LiAc2HoHg6 was computed for Cu Kα (weighted mean of Kα1 and Kα2).

Crystal structure
a = 5.963 Å, b = 7.170 Å, c = 7.288 Å
α = 93.47°, β = 103.34°, γ = 107.38°
Fractional coordinates of all 10 atoms:
Li 0.000 0.000 0.000
Ac 0.468 0.245 0.785
Ac 0.532 0.755 0.215
Ho 0.000 0.500 0.500
Hg 0.002 0.662 0.884
Hg 0.138 0.912 0.379
Hg 0.485 0.265 0.273
Hg 0.515 0.735 0.727
Hg 0.862 0.088 0.621
Hg 0.998 0.338 0.116

Largest 10 diffraction maxima, low angle first, 10 to 90 degrees two-theta:
d/Å, Rel. int., h k l
3.417, 30, 1 -2 0
3.387, 58, 0 2 0
3.233, 66, 0 2 -1
3.110, 100, -1 1 2
2.890, 38, 2 -1 0
2.747, 68, 2 0 0
2.660, 67, 1 0 2
2.628, 31, 0 2 -2
2.579, 63, 2 -2 0
2.541, 49, 1 2 0